(1)
Diffraction record for Nd2Ga2BrCl. The powder diffraction line list is simulated, not measured: it uses a structure optimized by DFT (PBE) and copper Kα.
Lines closer than 0.1° are merged.

```
data_Nd2Ga2BrCl
_cell_length_a 4.217
_cell_length_b 4.217
_cell_length_c 11.353
_cell_angle_alpha 90.00
_cell_angle_beta 90.00
_cell_angle_gamma 120.00
_space_group_name_H-M_alt 'P 1'
_space_group_IT_number 1
loop_
_space_group_symop_operation_xyz
'x,y,z'
loop_
_atom_site_label
_atom_site_type_symbol
_atom_site_fract_x
_atom_site_fract_y
_atom_site_fract_z
Nd1 Nd 0.000 0.000 0.000
Nd2 Nd 0.000 0.000 0.375
Ga1 Ga 0.333 0.667 0.216
Ga2 Ga 0.667 0.333 0.161
Br1 Br 0.667 0.333 0.535
Cl1 Cl 0.333 0.667 0.859
```

Peak list (10 most intense, 10° ≤ 2θ ≤ 90°, most intense first)
2θ/deg	I/Imax
34.12	1000
29.07	802
42.89	519
55.91	239
47.13	235
72.95	214
24.37	195
52.65	151
59.86	147
25.62	140

(2)
Diffraction record for Nd3GaBr2Cl. The powder diffraction line list is simulated, not measured: it uses a structure optimized by DFT (PBE) and copper Kα.
Lines closer than 0.1° are merged.

```
data_Nd3GaBr2Cl
_cell_length_a 5.920
_cell_length_b 5.920
_cell_length_c 5.999
_cell_angle_alpha 90.00
_cell_angle_beta 90.00
_cell_angle_gamma 90.00
_space_group_name_H-M_alt 'P 1'
_space_group_IT_number 1
loop_
_space_group_symop_operation_xyz
'x,y,z'
loop_
_atom_site_label
_atom_site_type_symbol
_atom_site_fract_x
_atom_site_fract_y
_atom_site_fract_z
Nd1 Nd 0.000 0.000 0.000
Nd2 Nd 0.000 0.500 0.500
Nd3 Nd 0.500 0.000 0.500
Ga1 Ga 0.000 0.000 0.500
Br1 Br 0.000 0.500 0.000
Br2 Br 0.500 0.000 0.000
Cl1 Cl 0.500 0.500 0.500
```

Peak list (10 most intense, 10° ≤ 2θ ≤ 90°, most intense first)
2θ/deg	I/Imax
30.19	1000
42.93	754
29.79	518
53.37	394
43.22	369
14.96	342
79.07	247
21.22	189
70.37	170
71.02	166

(3)
Diffraction record for Ga2PtBr4Cl4. The powder diffraction line list is simulated, not measured: it uses a structure optimized by DFT (PBE) and copper Kα.
Lines closer than 0.1° are merged.

```
data_Ga2PtBr4Cl4
_cell_length_a 7.590
_cell_length_b 7.590
_cell_length_c 7.506
_cell_angle_alpha 94.82
_cell_angle_beta 94.82
_cell_angle_gamma 68.55
_space_group_name_H-M_alt 'P 1'
_space_group_IT_number 1
loop_
_space_group_symop_operation_xyz
'x,y,z'
loop_
_atom_site_label
_atom_site_type_symbol
_atom_site_fract_x
_atom_site_fract_y
_atom_site_fract_z
Ga1 Ga 0.220 0.220 0.328
Ga2 Ga 0.780 0.780 0.672
Pt1 Pt 0.000 0.000 0.000
Br1 Br 0.086 0.685 0.845
Br2 Br 0.315 0.914 0.155
Br3 Br 0.685 0.086 0.845
Br4 Br 0.914 0.315 0.155
Cl1 Cl 0.189 0.189 0.605
Cl2 Cl 0.385 0.385 0.276
Cl3 Cl 0.615 0.615 0.724
Cl4 Cl 0.811 0.811 0.395
```

Peak list (10 most intense, 10° ≤ 2θ ≤ 90°, most intense first)
2θ/deg	I/Imax
16.79	1000
12.55	840
17.57	817
28.61	547
40.92	414
11.85	364
26.55	338
42.01	269
49.12	239
35.63	237

(4)
Diffraction record for Ga2PtBr4Cl4. The powder diffraction line list is simulated, not measured: it uses a structure optimized by DFT (PBE) and copper Kα.
Lines closer than 0.1° are merged.

```
data_Ga2PtBr4Cl4
_cell_length_a 7.592
_cell_length_b 7.592
_cell_length_c 7.630
_cell_angle_alpha 98.03
_cell_angle_beta 98.03
_cell_angle_gamma 66.30
_space_group_name_H-M_alt 'P 1'
_space_group_IT_number 1
loop_
_space_group_symop_operation_xyz
'x,y,z'
loop_
_atom_site_label
_atom_site_type_symbol
_atom_site_fract_x
_atom_site_fract_y
_atom_site_fract_z
Ga1 Ga 0.217 0.217 0.323
Ga2 Ga 0.783 0.783 0.677
Pt1 Pt 0.000 0.000 0.000
Br1 Br 0.185 0.185 0.610
Br2 Br 0.389 0.389 0.271
Br3 Br 0.611 0.611 0.729
Br4 Br 0.815 0.815 0.390
Cl1 Cl 0.080 0.696 0.848
Cl2 Cl 0.304 0.920 0.152
Cl3 Cl 0.696 0.080 0.848
Cl4 Cl 0.920 0.304 0.152
```

Peak list (10 most intense, 10° ≤ 2θ ≤ 90°, most intense first)
2θ/deg	I/Imax
16.58	1000
29.38	802
21.40	763
12.79	639
25.00	626
19.89	494
42.07	412
37.48	384
16.83	357
25.50	356

(5)
Diffraction record for Pr2GeBrCl. The powder diffraction line list is simulated, not measured: it uses a structure optimized by DFT (PBE) and copper Kα.
Lines closer than 0.1° are merged.

```
data_Pr2GeBrCl
_cell_length_a 4.308
_cell_length_b 4.308
_cell_length_c 10.125
_cell_angle_alpha 90.00
_cell_angle_beta 90.00
_cell_angle_gamma 120.00
_space_group_name_H-M_alt 'P 1'
_space_group_IT_number 1
loop_
_space_group_symop_operation_xyz
'x,y,z'
loop_
_atom_site_label
_atom_site_type_symbol
_atom_site_fract_x
_atom_site_fract_y
_atom_site_fract_z
Pr1 Pr 0.000 0.000 0.000
Pr2 Pr 0.333 0.667 0.664
Ge1 Ge 0.667 0.333 0.831
Br1 Br 0.000 0.000 0.485
Cl1 Cl 0.333 0.667 0.154
```

Peak list (10 most intense, 10° ≤ 2θ ≤ 90°, most intense first)
2θ/deg	I/Imax
29.75	1000
41.95	361
43.19	349
25.45	221
52.27	201
69.16	171
70.95	142
35.88	137
23.85	125
77.49	122

(6)
Diffraction record for Ho2H2Br3Cl. The powder diffraction line list is simulated, not measured: it uses a structure optimized by DFT (PBE) and copper Kα.
Lines closer than 0.1° are merged.

```
data_Ho2H2Br3Cl
_cell_length_a 3.789
_cell_length_b 3.789
_cell_length_c 14.795
_cell_angle_alpha 90.00
_cell_angle_beta 90.00
_cell_angle_gamma 120.00
_space_group_name_H-M_alt 'P 1'
_space_group_IT_number 1
loop_
_space_group_symop_operation_xyz
'x,y,z'
loop_
_atom_site_label
_atom_site_type_symbol
_atom_site_fract_x
_atom_site_fract_y
_atom_site_fract_z
Ho1 Ho 0.000 0.000 0.000
Ho2 Ho 0.000 0.000 0.495
H1 H 0.333 0.667 0.999
H2 H 0.667 0.333 0.497
Br1 Br 0.333 0.667 0.626
Br2 Br 0.667 0.333 0.129
Br3 Br 0.667 0.333 0.870
Cl1 Cl 0.333 0.667 0.379
```

Peak list (10 most intense, 10° ≤ 2θ ≤ 90°, most intense first)
2θ/deg	I/Imax
11.96	1000
36.61	860
29.79	758
48.03	337
27.85	247
46.04	205
71.26	199
32.78	191
61.87	185
49.68	173